Diffraction record for PmPd2Au8. The powder XRD pattern is calculated, not measured: it uses the PBE geometry in Alexandria and Cu Kα, 1.54184 Å.
Kinematic intensities with the Lorentz-polarization factor, no thermal factor.

Structure:
```
PmPd2Au8
1.0
-2.107 3.742 6.792
2.107 -3.742 6.792
2.107 3.742 -6.792
Pm Pd Au
1 2 8
Direct
0.000 0.000 0.000 Pm
0.324 0.324 0.000 Pd
0.676 0.676 0.000 Pd
0.096 0.834 0.262 Au
0.164 0.664 0.500 Au
0.302 0.500 0.802 Au
0.428 0.166 0.262 Au
0.572 0.834 0.738 Au
0.698 0.500 0.198 Au
0.836 0.336 0.500 Au
0.904 0.166 0.738 Au
```

Main lines, sorted by position (2θ = 5–70°):
2θ (°)  intensity
27.6  8
37.8  100
39.8  24
42.9  19
48.7  9
60.0  15